Simulated powder XRD pattern of AgI6Br for Cu Kα, from a PBE-relaxed structure.
Peak positions follow from Bragg's law for the DFT cell and can differ from measured ones.

Most intense lines, 2θ from 15° to 90°, sorted by position:
- 16.0 deg, d 5.534, intensity 241
- 26.7 deg, d 3.337, intensity 128
- 27.9 deg, d 3.195, intensity 1000
- 32.4 deg, d 2.767, intensity 743
- 46.4 deg, d 1.957, intensity 522
- 55.0 deg, d 1.669, intensity 414
- 57.7 deg, d 1.598, intensity 176
- 74.8 deg, d 1.270, intensity 158
- 77.1 deg, d 1.237, intensity 216
- 86.1 deg, d 1.130, intensity 163

Atomic structure:
```
data_AgI6Br
_space_group_name_H-M_alt 'F -4 3 m'
_space_group_IT_number 216
_space_group_name_Hall 'F -4 2 3'
_cell_length_a 11.068
_cell_length_b 11.068
_cell_length_c 11.068
_cell_angle_alpha 90.00
_cell_angle_beta 90.00
_cell_angle_gamma 90.00
loop_
_atom_site_label
_atom_site_fract_x
_atom_site_fract_y
_atom_site_fract_z
Ag1 0.000 0.000 0.000
I1 0.011 0.250 0.250
Br1 0.250 0.250 0.750
```